Record 1
This entry pairs a crystal structure of Co23Ni6Pt with its computed X-ray powder pattern. Radiation: Cu Kα X-rays. Structure: a cell relaxed with PBE.

Peak list (8 most intense, 10° ≤ 2θ ≤ 90°, by angle)
2θ 13.8, intensity 4, (1 1 1); 2θ 36.1, intensity 15, (4 2 0); 2θ 42.2, intensity 5, (5 1 1); 2θ 46.1, intensity 100, (4 4 0); 2θ 49.1, intensity 5, (6 0 0); 2θ 67.2, intensity 14, (8 0 0); 2θ 69.6, intensity 5, (6 4 4); 2θ 85.4, intensity 26, (8 4 4)

Structural model:
```
data_Co23Ni6Pt
_chemical_formula_sum 'Co92 Ni24 Pt4'
_cell_length_a 11.1374
_cell_length_b 11.1374
_cell_length_c 11.1374
_cell_angle_alpha 90.00
_cell_angle_beta 90.00
_cell_angle_gamma 90.00
_space_group_name_H-M_alt 'F m -3 m'
_space_group_IT_number 225
_space_group_name_Hall '-F 4 2 3'
loop_
_atom_site_label
_atom_site_fract_x
_atom_site_fract_y
_atom_site_fract_z
_atom_site_occupancy
Co1 0.0000 0.0000 0.0000 1
Co2 0.0000 0.2500 0.2500 1
Co3 0.1291 0.1291 0.1291 1
Co4 0.1399 0.1399 0.3601 1
Ni1 0.0000 0.0000 0.2573 1
Pt1 0.0000 0.0000 0.5000 1
```


Record 2
This entry pairs a crystal structure of HAu2Br5 with its computed X-ray powder pattern. Radiation: Cu Kα X-rays. Structure: a cell relaxed with PBE.

Peak list (8 most intense, 10° ≤ 2θ ≤ 90°, by angle)
2θ 18.7, intensity 61, (4 0 0); 2θ 22.7, intensity 100, (1 1 -1); 2θ 24.3, intensity 63, (1 1 1); 2θ 24.9, intensity 71, (3 1 -1); 2θ 29.0, intensity 59, (3 1 1); 2θ 30.0, intensity 47, (5 1 -1); 2θ 31.3, intensity 87, (4 2 0); 2θ 38.0, intensity 60, (6 2 0)

Structural model:
```
data_HAu2Br5
_chemical_formula_sum 'H2 Au4 Br10'
_cell_length_a 19.4274
_cell_length_b 7.1393
_cell_length_c 4.6947
_cell_angle_alpha 90.00
_cell_angle_beta 101.70
_cell_angle_gamma 90.00
_space_group_name_H-M_alt 'C 1 m 1'
_space_group_IT_number 8
_space_group_name_Hall 'C -2y'
loop_
_atom_site_label
_atom_site_fract_x
_atom_site_fract_y
_atom_site_fract_z
_atom_site_occupancy
H1 0.0000 0.0000 0.0000 1
Au1 0.3114 0.5000 0.3888 1
Au2 0.3118 0.0000 0.8872 1
Br1 0.0538 0.0000 0.8298 1
Br2 0.2346 0.2498 0.5747 1
Br3 0.3887 0.2488 0.2060 1
```


Record 3
This entry pairs a crystal structure of Dy12Ga6Sn with its computed X-ray powder pattern. Radiation: Cu Kα X-rays. Structure: a cell relaxed with PBE.

Peak list (8 most intense, 10° ≤ 2θ ≤ 90°, by angle)
2θ 28.0, intensity 31, (3 0 1); 2θ 30.8, intensity 47, (2 2 2); 2θ 33.3, intensity 100, (3 1 2); 2θ 35.7, intensity 20, (4 0 0); 2θ 46.0, intensity 18, (5 0 1); 2θ 53.1, intensity 33, (5 3 0); 2θ 56.4, intensity 34, (5 2 3); 2θ 65.6, intensity 20, (5 3 4)

Structural model:
```
data_Dy12Ga6Sn
_chemical_formula_sum 'Dy24 Ga12 Sn2'
_cell_length_a 10.0632
_cell_length_b 10.0632
_cell_length_c 10.0632
_cell_angle_alpha 90.00
_cell_angle_beta 90.00
_cell_angle_gamma 90.00
_space_group_name_H-M_alt 'I m -3'
_space_group_IT_number 204
_space_group_name_Hall '-I 2 2 3'
loop_
_atom_site_label
_atom_site_fract_x
_atom_site_fract_y
_atom_site_fract_z
_atom_site_occupancy
Dy1 0.0000 0.2944 0.1884 1
Ga1 0.0000 0.1226 0.5000 1
Sn1 0.0000 0.0000 0.0000 1
```